# AcGa8Tc4
Computed powder X-ray diffraction pattern, Cu Ka. Input: a PBE-relaxed structure.

Structure:
```
data_AcGa8Tc4
_chemical_formula_sum 'Ac2 Ga16 Tc8'
_space_group_name_H-M_alt 'I 4/m m m'
_space_group_IT_number 139
_space_group_name_Hall '-I 4 2'
_cell_length_a 9.1920
_cell_length_b 9.1920
_cell_length_c 5.2910
_cell_angle_alpha 90.00
_cell_angle_beta 90.00
_cell_angle_gamma 90.00
loop_
_atom_site_label
_atom_site_type_symbol
_atom_site_fract_x
_atom_site_fract_y
_atom_site_fract_z
Ac1 Ac 0.0000 0.0000 0.0000
Ga1 Ga 0.0000 0.2368 0.5000
Ga2 Ga 0.0000 0.3500 0.0000
Tc1 Tc 0.2500 0.2500 0.2500
```

Largest 10 diffraction maxima, low angle first, 2θ = 10–90°:
| 2theta | d/Å | Rel. int. | (hkl) |
| --- | --- | --- | --- |
| 19.35 | 4.588 | 7.4 | 1 0 1 |
| 27.47 | 3.247 | 22.3 | 2 2 0 |
| 30.76 | 2.907 | 8.2 | 3 1 0 |
| 33.82 | 2.650 | 20.4 | 0 0 2 |
| 39.24 | 2.296 | 100.0 | 4 0 0 |
| 44.11 | 2.053 | 23.0 | 2 2 2 |
| 56.69 | 1.624 | 18.0 | 4 4 0 |
| 64.22 | 1.450 | 7.9 | 3 2 3 |
| 71.09 | 1.326 | 19.2 | 6 0 2 |
| 84.31 | 1.149 | 12.8 | 8 0 0 |